For Li6MnV3P6O24, a GGA+U-relaxed structure gives the simulated PXRD pattern in this record (Cu Kα).
No peak broadening, texture or thermal motion is included.

Cell and atoms:
```
data_Li6MnV3P6O24
_chemical_formula_sum 'Li6 Mn1 V3 P6 O24'
_space_group_name_H-M_alt 'P 1'
_space_group_IT_number 1
_space_group_name_Hall 'P 1'
_cell_length_a 6.3759
_cell_length_b 8.5952
_cell_length_c 8.6685
_cell_angle_alpha 94.35
_cell_angle_beta 106.01
_cell_angle_gamma 105.96
loop_
_atom_site_label
_atom_site_type_symbol
_atom_site_fract_x
_atom_site_fract_y
_atom_site_fract_z
Li1 Li 0.0000 0.0000 0.0000
Li2 Li 0.0039 0.7070 0.2929
Li3 Li 0.2507 0.4892 0.5026
Li4 Li 0.4998 0.2795 0.7127
Li5 Li 0.5040 0.9868 0.0071
Li6 Li 0.7533 0.4911 0.5032
Mn1 Mn 0.8865 0.0516 0.3766
V1 V 0.1153 0.6130 0.9460
V2 V 0.3916 0.3728 0.0593
V3 V 0.6112 0.9336 0.6242
P1 P 0.0013 0.2768 0.7169
P2 P 0.1157 0.8514 0.6668
P3 P 0.3884 0.1301 0.3424
P4 P 0.5031 0.7060 0.2901
P5 P 0.6171 0.6530 0.8645
P6 P 0.8865 0.3312 0.1352
O1 O 0.0235 0.2542 0.5420
O2 O 0.0470 0.6938 0.5477
O3 O 0.0775 0.3943 0.0503
O4 O 0.1576 0.0042 0.3391
O5 O 0.1586 0.8307 0.8512
O6 O 0.2179 0.2495 0.8333
O7 O 0.2870 0.7343 0.1749
O8 O 0.3408 0.9780 0.6610
O9 O 0.3649 0.1523 0.1610
O10 O 0.4300 0.5943 0.9540
O11 O 0.4565 0.2888 0.4602
O12 O 0.4837 0.7273 0.4646
O13 O 0.5192 0.5287 0.2650
O14 O 0.5470 0.5348 0.7071
O15 O 0.5780 0.0405 0.4039
O16 O 0.6458 0.8367 0.8444
O17 O 0.6590 0.3382 0.0134
O18 O 0.7254 0.8196 0.2654
O19 O 0.7832 0.1639 0.7437
O20 O 0.8468 0.6530 0.9888
O21 O 0.8548 0.1456 0.1448
O22 O 0.9245 0.9369 0.6179
O23 O 0.9557 0.4439 0.2963
O24 O 0.9848 0.4540 0.7405
```

The 12 most intense peaks (10° ≤ 2θ ≤ 90°), sorted by position:
two_theta, I/Imax, (hkl)
13.99, 36, 0 1 -1
15.70, 36, 1 -1 0
16.52, 100, 0 1 1
25.40, 26, 1 -2 1
28.19, 16, 0 2 -2
29.17, 62, 2 0 -1
32.18, 33, 1 2 -2
32.72, 31, 0 1 -3
32.97, 28, 0 3 -1
33.40, 16, 0 2 2
35.08, 15, -2 2 2
43.65, 16, -3 2 1

---

For Li2MnVP4O14, a GGA+U-relaxed structure gives the simulated PXRD pattern in this record (Cu Kα).
No peak broadening, texture or thermal motion is included.

Cell and atoms:
```
data_Li2MnVP4O14
_chemical_formula_sum 'Li4 Mn2 V2 P8 O28'
_space_group_name_H-M_alt 'P 1'
_space_group_IT_number 1
_space_group_name_Hall 'P 1'
_cell_length_a 7.0546
_cell_length_b 9.6096
_cell_length_c 9.6417
_cell_angle_alpha 119.46
_cell_angle_beta 99.46
_cell_angle_gamma 99.36
loop_
_atom_site_label
_atom_site_type_symbol
_atom_site_fract_x
_atom_site_fract_y
_atom_site_fract_z
Li1 Li 0.0000 0.0000 0.0000
Li2 Li 0.0025 0.5032 0.5036
Li3 Li 0.6505 0.5746 0.0751
Li4 Li 0.6537 0.0761 0.5777
Mn1 Mn 0.0573 0.2006 0.8391
Mn2 Mn 0.5959 0.7365 0.8754
V1 V 0.0542 0.7014 0.3404
V2 V 0.5991 0.2373 0.3762
P1 P 0.2368 0.5928 0.0192
P2 P 0.2405 0.0961 0.5194
P3 P 0.4140 0.5599 0.4831
P4 P 0.4147 0.0546 0.9831
P5 P 0.8045 0.3021 0.1226
P6 P 0.8089 0.8054 0.6244
P7 P 0.8439 0.4545 0.7729
P8 P 0.8485 0.9536 0.2732
O1 O 0.0766 0.5643 0.8597
O2 O 0.0793 0.0656 0.3584
O3 O 0.1728 0.7037 0.1709
O4 O 0.1827 0.2105 0.6741
O5 O 0.2140 0.0557 0.8990
O6 O 0.2145 0.5638 0.3979
O7 O 0.2352 0.4225 0.9985
O8 O 0.2414 0.9277 0.5001
O9 O 0.4114 0.5784 0.6509
O10 O 0.4167 0.0752 0.1515
O11 O 0.4394 0.1779 0.5118
O12 O 0.4387 0.6780 0.0206
O13 O 0.4751 0.4063 0.3717
O14 O 0.4764 0.9005 0.8696
O15 O 0.5732 0.2152 0.0111
O16 O 0.5766 0.7200 0.5143
O17 O 0.7171 0.5611 0.8723
O18 O 0.7225 0.0582 0.3742
O19 O 0.8085 0.9181 0.0955
O20 O 0.8093 0.4202 0.5962
O21 O 0.8185 0.2986 0.2814
O22 O 0.8221 0.2978 0.7790
O23 O 0.8296 0.8004 0.7811
O24 O 0.8342 0.7959 0.2786
O25 O 0.8416 0.4804 0.1590
O26 O 0.8475 0.9834 0.6578
O27 O 0.9308 0.7023 0.5157
O28 O 0.9336 0.2031 0.0209
```

The 12 most intense peaks (10° ≤ 2θ ≤ 90°), sorted by position:
two_theta, I/Imax, (hkl)
13.27, 10, 1 0 0
17.04, 100, 1 -1 1
22.12, 20, 0 2 0
22.35, 44, 1 0 -2
25.24, 18, 1 2 -2
26.91, 21, 1 1 1
28.86, 15, 2 -1 1
29.02, 23, 1 0 2
29.11, 28, 1 1 -3
29.21, 28, 1 -3 1
29.55, 27, 2 -2 0
34.47, 13, 2 2 -2